1.
This entry pairs a crystal structure of AcSm3Hg3 with its theoretical X-ray diffraction stick pattern. Radiation: Cu Kα (λ = 1.5418 Å). Structure: a DFT-relaxed cell (GGA-PBE, Alexandria).
No peak broadening, texture or thermal motion is included.

Unit cell a=9.6352 b=9.6352 c=17.0376 alpha=90.00 beta=90.00 gamma=120.00
Space group R-3 (No. 148, hexagonal axes)
One atom of each set of equivalent atoms:
Ac (0.0000, 0.0000, 0.2152) x6
Sm (0.0038, 0.2350, 0.5876) x18
Hg (0.0386, 0.6199, 0.5755) x18

The 12 most intense peaks (2θ from 10° to 90°), in order of falling intensity:
| 2θ/deg | I (rel.) | hkl |
| --- | --- | --- |
| 30.22 | 100 | 1 2 2 |
| 35.41 | 58 | 3 -1 4 |
| 31.51 | 34 | 0 0 6 |
| 32.18 | 25 | 3 0 0 |
| 51.81 | 18 | 1 2 8 |
| 61.91 | 14 | 5 0 5 |
| 36.74 | 13 | 1 1 6 |
| 50.10 | 11 | 4 1 0 |
| 24.23 | 11 | 1 1 3 |
| 48.76 | 10 | 5 -3 2 |
| 59.63 | 10 | 4 2 2 |
| 28.79 | 10 | 2 1 1 |

---

2.
This entry pairs a crystal structure of CdCu12Pd6 with its theoretical X-ray diffraction stick pattern. Radiation: Cu Kα (λ = 1.5418 Å). Structure: a DFT-relaxed cell (GGA-PBE, Alexandria).
No peak broadening, texture or thermal motion is included.

Unit cell a=11.1358 b=11.1358 c=8.0524 alpha=90.00 beta=90.00 gamma=120.00
Space group R-3m (No. 166, hexagonal axes)
One atom of each set of equivalent atoms:
Cd (0.0000, 0.0000, 0.0000) x3
Cu (0.0000, 0.3909, 0.5000) x18
Cu (0.0787, 0.1575, 0.2690) x18
Pd (0.0661, 0.5330, 0.2302) x18

The 12 most intense peaks (2θ from 10° to 90°), in order of falling intensity:
| 2θ/deg | I (rel.) | hkl |
| --- | --- | --- |
| 42.37 | 100 | 3 2 1 |
| 46.86 | 86 | 2 3 2 |
| 43.95 | 77 | 0 3 3 |
| 49.05 | 73 | 0 2 4 |
| 35.36 | 62 | 1 3 1 |
| 26.85 | 62 | 2 1 1 |
| 37.19 | 46 | 1 1 3 |
| 52.62 | 44 | 5 0 2 |
| 85.39 | 31 | 3 5 4 |
| 70.32 | 30 | 0 4 5 |
| 77.17 | 24 | 5 0 5 |
| 28.89 | 22 | 2 0 2 |

---

3.
This entry pairs a crystal structure of Ho2CuTe2S2O14 with its theoretical X-ray diffraction stick pattern. Radiation: Cu Kα (λ = 1.5418 Å). Structure: a DFT-relaxed cell (GGA-PBE, Alexandria).
No peak broadening, texture or thermal motion is included.

Unit cell a=5.204 b=7.924 c=8.200 alpha=61.74 beta=74.56 gamma=85.30
Space group P-1 (No. 2)
One atom of each set of equivalent atoms:
Ho (0.065, 0.251, 0.020) x2
Cu (0.000, 0.000, 0.500) x1
Te (0.493, 0.729, 0.653) x2
S (0.263, 0.744, 0.249) x2
O (0.155, 0.583, 0.237) x2
O (0.156, 0.737, 0.437) x2
O (0.173, 0.920, 0.095) x2
O (0.249, 0.560, 0.889) x2
O (0.254, 0.931, 0.657) x2
O (0.268, 0.186, 0.255) x2
O (0.441, 0.259, 0.793) x2

The 12 most intense peaks (2θ from 10° to 90°), in order of falling intensity:
| 2θ/deg | I (rel.) | hkl |
| --- | --- | --- |
| 25.56 | 100 | 0 2 0 |
| 30.03 | 73 | -1 2 1 |
| 24.75 | 70 | 1 1 2 |
| 24.42 | 67 | 1 0 -1 |
| 13.07 | 63 | 0 1 1 |
| 34.93 | 60 | 1 0 -2 |
| 27.10 | 46 | 1 0 2 |
| 22.52 | 42 | 0 1 2 |
| 27.52 | 40 | 1 2 1 |
| 38.69 | 38 | 2 -1 1 |
| 18.94 | 35 | 1 0 1 |
| 37.13 | 32 | 1 3 2 |

---

4.
This entry pairs a crystal structure of Mo3HPt with its theoretical X-ray diffraction stick pattern. Radiation: Cu Kα (λ = 1.5418 Å). Structure: a DFT-relaxed cell (GGA-PBE, Alexandria).
No peak broadening, texture or thermal motion is included.

Unit cell a=4.624 b=5.838 c=4.858 alpha=90.00 beta=93.41 gamma=90.00
Space group P2/m (No. 10)
One atom of each set of equivalent atoms:
Mo (0.221, 0.000, 0.283) x2
Mo (0.273, 0.248, 0.829) x4
H (0.500, 0.186, 0.500) x2
Pt (0.226, 0.500, 0.324) x2

The 12 most intense peaks (2θ from 10° to 90°), in order of falling intensity:
| 2θ/deg | I (rel.) | hkl |
| --- | --- | --- |
| 40.49 | 100 | 1 2 -1 |
| 41.59 | 96 | 1 2 1 |
| 39.03 | 64 | 2 0 0 |
| 41.00 | 36 | 1 0 -2 |
| 77.31 | 34 | 2 4 0 |
| 37.08 | 33 | 0 0 2 |
| 35.91 | 30 | 0 2 1 |
| 43.16 | 25 | 1 0 2 |
| 66.07 | 24 | 0 2 3 |
| 15.18 | 23 | 0 1 0 |
| 53.15 | 22 | 2 0 -2 |
| 63.77 | 18 | 0 4 0 |

---

5.
This entry pairs a crystal structure of Ca2In2SnHg4 with its theoretical X-ray diffraction stick pattern. Radiation: Cu Kα (λ = 1.5418 Å). Structure: a DFT-relaxed cell (GGA-PBE, Alexandria).
No peak broadening, texture or thermal motion is included.

Unit cell a=7.300 b=7.300 c=10.127 alpha=90.00 beta=90.00 gamma=90.00
Space group I4/mmm (No. 139)
One atom of each set of equivalent atoms:
Ca (0.000, 0.000, 0.201) x4
In (0.000, 0.500, 0.250) x4
Sn (0.000, 0.000, 0.500) x2
Hg (0.226, 0.226, 0.000) x8

The 12 most intense peaks (2θ from 10° to 90°), in order of falling intensity:
| 2θ/deg | I (rel.) | hkl |
| --- | --- | --- |
| 30.18 | 100 | 2 0 2 |
| 34.76 | 53 | 2 2 0 |
| 17.51 | 37 | 0 0 2 |
| 50.50 | 33 | 2 2 4 |
| 35.46 | 26 | 0 0 4 |
| 59.50 | 21 | 4 2 2 |
| 39.18 | 17 | 2 2 2 |
| 24.63 | 17 | 1 1 2 |
| 49.97 | 17 | 4 0 0 |
| 62.76 | 15 | 4 0 4 |
| 38.03 | 12 | 3 0 1 |
| 60.43 | 11 | 2 0 6 |

---

6.
This entry pairs a crystal structure of Bi with its theoretical X-ray diffraction stick pattern. Radiation: Cu Kα (λ = 1.5418 Å). Structure: a DFT-relaxed cell (GGA-PBE, Alexandria).
No peak broadening, texture or thermal motion is included.

Unit cell a=4.190 b=4.190 c=3.602 alpha=90.00 beta=90.00 gamma=90.00
Space group I4/mmm (No. 139)
One atom of each set of equivalent atoms:
Bi (0.000, 0.000, 0.000) x2

The 12 most intense peaks (2θ from 10° to 90°), in order of falling intensity:
| 2θ/deg | I (rel.) | hkl |
| --- | --- | --- |
| 32.79 | 100 | 1 0 1 |
| 30.16 | 62 | 1 1 0 |
| 55.26 | 47 | 2 1 1 |
| 43.18 | 24 | 2 0 0 |
| 60.13 | 18 | 1 1 2 |
| 88.38 | 14 | 3 2 1 |
| 68.74 | 13 | 2 0 2 |
| 71.15 | 11 | 3 1 0 |
| 72.60 | 11 | 3 0 1 |
| 62.72 | 8 | 2 2 0 |
| 83.82 | 8 | 1 0 3 |
| 50.69 | 8 | 0 0 2 |

---

7.
This entry pairs a crystal structure of Zr6FeCl15 with its theoretical X-ray diffraction stick pattern. Radiation: Cu Kα (λ = 1.5418 Å). Structure: a DFT-relaxed cell (GGA-PBE, Alexandria).
No peak broadening, texture or thermal motion is included.

Unit cell a=10.394 b=10.394 c=10.394 alpha=90.00 beta=90.00 gamma=90.00
Space group Im-3m (No. 229)
One atom of each set of equivalent atoms:
Zr (0.000, 0.000, 0.238) x12
Fe (0.000, 0.000, 0.000) x2
Cl (0.000, 0.000, 0.500) x6
Cl (0.000, 0.246, 0.246) x24

The 12 most intense peaks (2θ from 10° to 90°), in order of falling intensity:
| 2θ/deg | I (rel.) | hkl |
| --- | --- | --- |
| 12.04 | 100 | 1 1 0 |
| 34.52 | 86 | 4 0 0 |
| 49.61 | 55 | 4 4 0 |
| 83.12 | 22 | 8 4 0 |
| 32.22 | 21 | 3 2 1 |
| 20.93 | 20 | 2 1 1 |
| 44.44 | 20 | 5 1 0 |
| 61.84 | 18 | 4 4 4 |
| 17.06 | 17 | 2 0 0 |
| 27.13 | 15 | 3 1 0 |
| 36.68 | 14 | 4 1 1 |
| 57.46 | 11 | 5 4 1 |

---

8.
This entry pairs a crystal structure of NaMg14Ni with its theoretical X-ray diffraction stick pattern. Radiation: Cu Kα (λ = 1.5418 Å). Structure: a DFT-relaxed cell (GGA-PBE, Alexandria).
No peak broadening, texture or thermal motion is included.

Unit cell a=6.3064 b=6.3064 c=10.1994 alpha=90.00 beta=90.00 gamma=120.00
Space group P-6m2 (No. 187)
One atom of each set of equivalent atoms:
Na (0.0000, 0.0000, 0.0000) x1
Mg (0.0062, 0.5031, 0.0000) x3
Mg (0.1620, 0.3241, 0.2685) x6
Mg (0.5040, 0.0080, 0.5000) x3
Mg (0.6667, 0.3333, 0.2434) x2
Ni (0.0000, 0.0000, 0.5000) x1

The 12 most intense peaks (2θ from 10° to 90°), in order of falling intensity:
| 2θ/deg | I (rel.) | hkl |
| --- | --- | --- |
| 37.35 | 100 | 2 0 2 |
| 32.80 | 25 | 2 0 0 |
| 35.20 | 25 | 0 0 4 |
| 70.18 | 18 | 2 2 4 |
| 58.55 | 17 | 2 2 0 |
| 64.58 | 16 | 2 0 6 |
| 48.87 | 15 | 2 0 4 |
| 71.54 | 13 | 4 0 2 |
| 18.43 | 9 | 1 0 1 |
| 16.23 | 5 | 1 0 0 |
| 38.96 | 4 | 1 1 3 |
| 47.55 | 3 | 1 0 5 |

---

9.
This entry pairs a crystal structure of PmSmScCd with its theoretical X-ray diffraction stick pattern. Radiation: Cu Kα (λ = 1.5418 Å). Structure: a DFT-relaxed cell (GGA-PBE, Alexandria).
No peak broadening, texture or thermal motion is included.

Unit cell a=3.567 b=3.567 c=8.868 alpha=90.00 beta=90.00 gamma=90.00
Space group P4mm (No. 99)
One atom of each set of equivalent atoms:
Pm (0.000, 0.000, 0.000) x1
Sm (0.500, 0.500, 0.705) x1
Sc (0.500, 0.500, 0.263) x1
Cd (0.000, 0.000, 0.456) x1

The 12 most intense peaks (2θ from 10° to 90°), in order of falling intensity:
| 2θ/deg | I (rel.) | hkl |
| --- | --- | --- |
| 32.21 | 100 | 1 0 2 |
| 35.60 | 42 | 1 1 0 |
| 61.81 | 30 | 2 1 2 |
| 26.94 | 19 | 1 0 1 |
| 55.16 | 16 | 1 1 4 |
| 51.23 | 15 | 2 0 0 |
| 47.38 | 10 | 1 1 3 |
| 40.70 | 10 | 0 0 4 |
| 58.08 | 9 | 1 0 5 |
| 30.24 | 9 | 0 0 3 |
| 67.39 | 9 | 2 0 4 |
| 81.09 | 7 | 2 1 5 |

---

10.
This entry pairs a crystal structure of Tb5Ga2Sb with its theoretical X-ray diffraction stick pattern. Radiation: Cu Kα (λ = 1.5418 Å). Structure: a DFT-relaxed cell (GGA-PBE, Alexandria).
No peak broadening, texture or thermal motion is included.

Unit cell a=8.183 b=8.183 c=12.766 alpha=90.00 beta=90.00 gamma=90.00
Space group I4/mcm (No. 140)
One atom of each set of equivalent atoms:
Tb (0.000, 0.000, 0.000) x4
Tb (0.155, 0.345, 0.143) x16
Ga (0.146, 0.354, 0.500) x8
Sb (0.000, 0.000, 0.250) x4

The 12 most intense peaks (2θ from 10° to 90°), in order of falling intensity:
| 2θ/deg | I (rel.) | hkl |
| --- | --- | --- |
| 32.26 | 100 | 2 1 3 |
| 34.66 | 68 | 3 1 0 |
| 32.03 | 27 | 1 1 4 |
| 35.68 | 25 | 2 0 4 |
| 25.32 | 22 | 2 1 1 |
| 65.19 | 19 | 5 2 3 |
| 55.68 | 17 | 3 3 4 |
| 50.76 | 13 | 4 1 3 |
| 30.91 | 13 | 2 2 0 |
| 53.18 | 13 | 4 0 4 |
| 69.16 | 12 | 3 1 8 |
| 49.83 | 11 | 4 2 0 |

---

11.
This entry pairs a crystal structure of Pm8ErTm3 with its theoretical X-ray diffraction stick pattern. Radiation: Cu Kα (λ = 1.5418 Å). Structure: a DFT-relaxed cell (GGA-PBE, Alexandria).
No peak broadening, texture or thermal motion is included.

Unit cell a=6.224 b=7.220 c=9.492 alpha=79.00 beta=77.26 gamma=73.08
Space group P-1 (No. 2)
One atom of each set of equivalent atoms:
Pm (0.001, 0.333, 0.167) x2
Pm (0.001, 0.833, 0.168) x2
Pm (0.498, 0.167, 0.333) x2
Pm (0.498, 0.667, 0.333) x2
Er (0.500, 0.000, 0.000) x1
Tm (0.000, 0.000, 0.500) x1
Tm (0.000, 0.500, 0.500) x1
Tm (0.500, 0.500, 0.000) x1

The 12 most intense peaks (2θ from 10° to 90°), in order of falling intensity:
| 2θ/deg | I (rel.) | hkl |
| --- | --- | --- |
| 30.43 | 100 | 2 0 0 |
| 35.25 | 45 | 2 2 2 |
| 50.83 | 40 | 3 0 3 |
| 30.51 | 33 | 1 0 3 |
| 35.42 | 22 | 1 0 -3 |
| 60.21 | 19 | 3 4 1 |
| 60.40 | 19 | 4 2 2 |
| 60.53 | 19 | 0 0 6 |
| 82.87 | 12 | 5 0 3 |
| 63.25 | 8 | 0 4 4 |
| 63.48 | 8 | 4 0 0 |
| 50.57 | 8 | 1 4 1 |

---

12.
This entry pairs a crystal structure of Ca3Hg5 with its theoretical X-ray diffraction stick pattern. Radiation: Cu Kα (λ = 1.5418 Å). Structure: a DFT-relaxed cell (GGA-PBE, Alexandria).
No peak broadening, texture or thermal motion is included.

Unit cell a=7.892 b=10.378 c=5.210 alpha=90.00 beta=90.00 gamma=90.00
Space group Cmmm (No. 65)
One atom of each set of equivalent atoms:
Ca (0.000, 0.000, 0.000) x2
Ca (0.000, 0.284, 0.500) x4
Hg (0.000, 0.500, 0.000) x2
Hg (0.215, 0.000, 0.500) x4
Hg (0.250, 0.250, 0.000) x4

The 12 most intense peaks (2θ from 10° to 90°), in order of falling intensity:
| 2θ/deg | I (rel.) | hkl |
| --- | --- | --- |
| 33.31 | 100 | 2 2 1 |
| 34.43 | 25 | 0 0 2 |
| 34.57 | 23 | 0 4 0 |
| 24.21 | 21 | 0 2 1 |
| 60.97 | 18 | 2 2 3 |
| 49.59 | 17 | 0 4 2 |
| 61.15 | 16 | 2 6 1 |
| 58.75 | 16 | 4 0 2 |
| 22.17 | 12 | 1 1 1 |
| 22.53 | 10 | 2 0 0 |
| 69.95 | 9 | 4 4 2 |
| 46.00 | 8 | 4 0 0 |